1.
# CaZn5
Calculated powder XRD pattern, a wavelength of 1.5418 Å. Input: DFT lattice parameters and positions (PBE).
No peak broadening, texture or thermal motion is included.

Main lines, by angle (2θ = 10–80°):
| h k l | 2θ/deg | I/Imax |
| --- | --- | --- |
| 1 0 0 | 18.99 | 49 |
| 1 1 0 | 33.20 | 16 |
| 2 0 0 | 38.52 | 28 |
| 1 1 1 | 39.55 | 100 |
| 0 0 2 | 42.51 | 33 |
| 2 0 1 | 44.22 | 66 |
| 2 0 2 | 58.70 | 15 |
| 3 0 1 | 63.60 | 23 |
| 2 2 0 | 69.69 | 21 |
| 1 1 3 | 75.80 | 13 |

Atomic structure:
```
CaZn5
1.0
5.397 0.000 0.000
-2.699 4.674 0.000
0.000 0.000 4.253
Ca Zn
1 5
Cartesian
0.000 0.000 0.000
-1.349 2.337 2.127
0.000 3.116 0.000
2.699 0.000 2.127
1.349 2.337 2.127
2.699 1.558 0.000
```

***

2.
# CaZn3
Calculated powder XRD pattern, a wavelength of 1.5418 Å. Input: DFT lattice parameters and positions (PBE).
No peak broadening, texture or thermal motion is included.

Main lines, by angle (2θ = 10–80°):
| h k l | 2θ/deg | I/Imax |
| --- | --- | --- |
| 1 0 0 | 16.01 | 24 |
| 2 0 0 | 32.34 | 25 |
| 2 0 1 | 37.92 | 100 |
| 0 0 2 | 39.13 | 23 |
| 2 0 2 | 51.64 | 13 |
| 3 0 1 | 53.49 | 11 |
| 2 2 0 | 57.68 | 14 |
| 2 0 3 | 70.11 | 15 |
| 4 0 1 | 71.12 | 8 |
| 2 2 2 | 71.92 | 13 |

Atomic structure:
```
CaZn3
1.0
6.393 0.000 0.000
-3.197 5.537 0.000
0.000 0.000 4.604
Ca Zn
2 6
Cartesian
0.000 3.691 1.151
3.197 1.846 3.453
0.000 1.593 3.453
-1.817 4.740 3.453
1.379 0.796 1.151
1.817 4.740 3.453
5.014 0.796 1.151
3.197 3.944 1.151
```

***

3.
# CaZn2
Calculated powder XRD pattern, a wavelength of 1.5418 Å. Input: DFT lattice parameters and positions (PBE).
No peak broadening, texture or thermal motion is included.

Main lines, by angle (2θ = 10–80°):
| h k l | 2θ/deg | I/Imax |
| --- | --- | --- |
| 0 1 1 | 16.76 | 33 |
| 1 1 2 | 32.95 | 63 |
| 1 2 1 | 33.31 | 100 |
| 0 2 2 | 33.89 | 37 |
| 0 3 1 | 38.45 | 61 |
| 2 0 0 | 39.25 | 63 |
| 1 0 3 | 40.75 | 92 |
| 1 3 2 | 48.34 | 33 |
| 2 3 1 | 56.12 | 39 |
| 1 3 4 | 65.37 | 33 |

Atomic structure:
```
CaZn2
1.0
4.590 0.000 0.000
0.000 7.385 0.000
0.000 0.000 7.583
Ca Zn
4 8
Cartesian
0.000 1.846 0.382
0.000 5.539 7.201
2.295 1.846 3.410
2.295 5.539 4.173
0.000 0.454 5.036
0.000 3.238 5.036
0.000 4.147 2.548
0.000 6.931 2.548
2.295 0.454 6.339
2.295 3.238 6.339
2.295 4.147 1.244
2.295 6.931 1.244
```

***

4.
# CaZn2
Calculated powder XRD pattern, a wavelength of 1.5418 Å. Input: DFT lattice parameters and positions (PBE).
No peak broadening, texture or thermal motion is included.

Main lines, by angle (2θ = 10–80°):
| h k l | 2θ/deg | I/Imax |
| --- | --- | --- |
| 1 0 0 | 18.14 | 29 |
| 1 0 3 | 35.59 | 44 |
| 1 1 2 | 37.81 | 96 |
| 2 0 1 | 38.18 | 100 |
| 0 0 4 | 40.86 | 27 |
| 2 0 2 | 42.24 | 37 |
| 2 1 3 | 58.99 | 18 |
| 3 0 2 | 60.53 | 22 |
| 2 0 5 | 65.13 | 27 |
| 2 2 0 | 66.19 | 27 |

Atomic structure:
```
CaZn2
1.0
5.648 0.000 0.000
-2.824 4.891 0.000
0.000 0.000 8.834
Ca Zn
4 8
Cartesian
0.000 3.261 0.517
0.000 3.261 3.900
2.824 1.630 4.934
2.824 1.630 8.318
0.000 0.000 0.000
0.000 0.000 4.417
0.000 1.634 6.626
-1.409 4.074 6.626
1.415 0.817 2.209
1.409 4.074 6.626
4.233 0.817 2.209
2.824 3.257 2.209
```

***

5.
# Ca3Zn
Calculated powder XRD pattern, a wavelength of 1.5418 Å. Input: DFT lattice parameters and positions (PBE).
No peak broadening, texture or thermal motion is included.

Main lines, by angle (2θ = 10–80°):
| h k l | 2θ/deg | I/Imax |
| --- | --- | --- |
| 1 0 0 | 17.46 | 5 |
| 1 1 0 | 24.79 | 5 |
| 1 1 1 | 30.48 | 100 |
| 2 0 0 | 35.34 | 50 |
| 2 1 0 | 39.68 | 3 |
| 2 1 1 | 43.65 | 3 |
| 2 2 0 | 50.84 | 32 |
| 3 1 1 | 60.45 | 37 |
| 2 2 2 | 63.44 | 10 |
| 4 0 0 | 74.76 | 5 |

Atomic structure:
```
Ca3Zn
1.0
5.080 0.000 0.000
0.000 5.080 0.000
0.000 0.000 5.080
Ca Zn
3 1
Cartesian
0.000 0.000 2.540
0.000 2.540 0.000
2.540 0.000 0.000
2.540 2.540 2.540
```

***

6.
# CaZn3
Calculated powder XRD pattern, a wavelength of 1.5418 Å. Input: DFT lattice parameters and positions (PBE).
No peak broadening, texture or thermal motion is included.

Main lines, by angle (2θ = 10–80°):
| h k l | 2θ/deg | I/Imax |
| --- | --- | --- |
| 1 0 1 | 14.42 | 39 |
| 1 0 2 | 21.40 | 28 |
| 2 0 2 | 29.08 | 63 |
| 2 1 0 | 29.93 | 32 |
| 3 0 1 | 35.30 | 41 |
| 0 0 4 | 36.83 | 76 |
| 2 2 0 | 39.52 | 83 |
| 2 2 2 | 43.82 | 100 |
| 4 0 2 | 49.81 | 37 |
| 2 2 4 | 55.12 | 58 |

Atomic structure:
```
CaZn3
1.0
9.121 0.000 0.000
-4.560 7.899 0.000
0.000 0.000 9.762
Ca Zn
8 24
Cartesian
0.000 0.000 2.441
0.000 0.000 7.322
-1.689 4.291 2.441
1.689 4.291 2.441
0.000 7.217 2.441
4.560 0.682 7.322
2.871 3.608 7.322
6.250 3.608 7.322
0.000 0.000 0.000
0.000 0.000 4.881
0.000 2.662 4.957
0.000 2.662 9.687
-2.255 6.568 4.957
-2.255 6.568 9.687
0.000 3.702 7.322
-1.354 6.048 7.322
0.000 5.266 4.969
0.000 5.266 9.674
2.305 1.331 0.076
2.305 1.331 4.806
3.206 1.851 2.441
1.354 6.048 7.322
2.255 6.568 4.957
2.255 6.568 9.687
4.560 2.633 0.088
4.560 2.633 4.793
5.915 1.851 2.441
4.560 4.197 2.441
6.816 1.331 0.076
6.816 1.331 4.806
4.560 5.237 0.076
4.560 5.237 4.806
```

***

7.
# Cd
Calculated powder XRD pattern, a wavelength of 1.5418 Å. Input: DFT lattice parameters and positions (PBE).
No peak broadening, texture or thermal motion is included.

Main lines, by angle (2θ = 10–80°):
| h k l | 2θ/deg | I/Imax |
| --- | --- | --- |
| 1 0 1 | 33.74 | 100 |
| 0 0 3 | 36.47 | 27 |
| 0 1 2 | 39.98 | 62 |
| 1 1 0 | 55.95 | 22 |
| 1 0 4 | 59.66 | 18 |
| 0 2 1 | 66.96 | 13 |
| 1 1 3 | 68.65 | 23 |
| 2 0 2 | 70.97 | 11 |
| 0 1 5 | 71.98 | 10 |
| 0 0 6 | 77.49 | 3 |

Atomic structure:
```
Cd
1.0
3.287 0.000 0.000
-1.643 2.846 0.000
0.000 0.000 7.391
Cd
3
Cartesian
0.000 0.000 0.000
0.000 1.898 4.927
1.643 0.949 2.464
```

***

8.
# Cd
Calculated powder XRD pattern, a wavelength of 1.5418 Å. Input: DFT lattice parameters and positions (PBE).
No peak broadening, texture or thermal motion is included.

Main lines, by angle (2θ = 10–80°):
| h k l | 2θ/deg | I/Imax |
| --- | --- | --- |
| 0 0 2 | 30.08 | 41 |
| 1 0 0 | 34.43 | 21 |
| 1 0 1 | 37.71 | 100 |
| 1 0 2 | 46.36 | 18 |
| 1 0 3 | 58.54 | 26 |
| 1 1 0 | 61.68 | 15 |
| 0 0 4 | 62.53 | 5 |
| 1 1 2 | 70.13 | 20 |
| 1 0 4 | 73.37 | 4 |
| 2 0 1 | 74.60 | 13 |

Atomic structure:
```
Cd
1.0
3.008 0.000 0.000
-1.504 2.605 0.000
0.000 0.000 5.942
Cd
2
Cartesian
0.000 1.737 1.485
1.504 0.868 4.456
```

***

9.
# Cd
Calculated powder XRD pattern, a wavelength of 1.5418 Å. Input: DFT lattice parameters and positions (PBE).
No peak broadening, texture or thermal motion is included.

Main lines, by angle (2θ = 10–80°):
| h k l | 2θ/deg | I/Imax |
| --- | --- | --- |
| 1 0 0 | 31.39 | 8 |
| 1 0 1 | 32.76 | 45 |
| 1 0 2 | 36.60 | 100 |
| 0 0 4 | 37.20 | 28 |
| 1 0 3 | 42.34 | 22 |
| 1 1 0 | 55.87 | 25 |
| 1 0 5 | 57.61 | 8 |
| 1 0 6 | 66.68 | 16 |
| 2 0 2 | 68.67 | 15 |
| 1 1 4 | 69.05 | 26 |

Atomic structure:
```
Cd
1.0
3.291 0.000 0.000
-1.645 2.850 0.000
0.000 0.000 9.668
Cd
4
Cartesian
0.000 0.000 0.000
0.000 0.000 4.834
0.000 1.900 2.417
1.645 0.950 7.251
```

***

10.
# Cd
Calculated powder XRD pattern, a wavelength of 1.5418 Å. Input: DFT lattice parameters and positions (PBE).
No peak broadening, texture or thermal motion is included.

Main lines, by angle (2θ = 10–80°):
| h k l | 2θ/deg | I/Imax |
| --- | --- | --- |
| 1 1 1 | 34.28 | 100 |
| 2 0 0 | 39.79 | 49 |
| 2 2 0 | 57.53 | 32 |
| 3 1 1 | 68.71 | 37 |
| 2 2 2 | 72.23 | 11 |

Atomic structure:
```
Cd
1.0
4.531 0.000 0.000
0.000 4.531 0.000
0.000 0.000 4.531
Cd
4
Cartesian
0.000 0.000 0.000
0.000 2.265 2.265
2.265 0.000 2.265
2.265 2.265 0.000
```

***

11.
# Cd
Calculated powder XRD pattern, a wavelength of 1.5418 Å. Input: DFT lattice parameters and positions (PBE).
No peak broadening, texture or thermal motion is included.

Main lines, by angle (2θ = 10–80°):
| h k l | 2θ/deg | I/Imax |
| --- | --- | --- |
| 1 1 0 | 35.58 | 100 |
| 2 0 0 | 51.20 | 17 |
| 2 1 1 | 63.90 | 34 |
| 2 2 0 | 75.33 | 10 |

Atomic structure:
```
Cd
1.0
3.569 0.000 0.000
0.000 3.569 0.000
0.000 0.000 3.569
Cd
2
Cartesian
0.000 0.000 0.000
1.784 1.784 1.784
```

***

12.
# Ce3Cd
Calculated powder XRD pattern, a wavelength of 1.5418 Å. Input: DFT lattice parameters and positions (PBE).
No peak broadening, texture or thermal motion is included.

Main lines, by angle (2θ = 10–80°):
| h k l | 2θ/deg | I/Imax |
| --- | --- | --- |
| 1 0 1 | 20.79 | 1 |
| 1 1 2 | 32.34 | 100 |
| 0 0 4 | 36.77 | 18 |
| 2 0 0 | 37.89 | 32 |
| 2 0 4 | 53.82 | 23 |
| 2 2 0 | 54.66 | 11 |
| 1 1 6 | 63.45 | 14 |
| 3 1 2 | 64.95 | 26 |
| 2 2 4 | 67.69 | 12 |
| 0 0 8 | 78.21 | 2 |

Atomic structure:
```
Ce3Cd
1.0
4.750 0.000 0.000
0.000 4.750 0.000
0.000 0.000 9.778
Ce Cd
6 2
Cartesian
0.000 0.000 0.000
0.000 2.375 2.444
0.000 2.375 7.333
2.375 0.000 2.444
2.375 0.000 7.333
2.375 2.375 4.889
0.000 0.000 4.889
2.375 2.375 0.000
```